# LiV2BiO6
Theoretical powder X-ray diffraction pattern, Cu Kα, 1.54184 Å. Input: the GGA+U geometry in Alexandria.
Neutral-atom scattering factors, no anomalous dispersion.

Crystal structure
```
20
Lattice="4.387 -5.595 0.000 4.387 5.595 0.000 -2.622 0.000 5.679" Properties=species:S:1:pos:R:3 pbc="T T T"
Li 2.421 3.356 4.260
Li 3.732 -3.356 1.420
V 2.491 0.980 1.791
V 1.180 -0.980 4.631
V 4.972 0.980 1.049
V 3.661 -0.980 3.889
Bi 3.732 4.663 1.420
Bi 2.421 -4.663 4.260
O 0.728 0.751 0.967
O 2.332 2.580 2.348
O -0.583 -0.751 3.807
O 3.283 0.525 0.119
O 5.131 2.580 0.492
O 1.971 -0.525 2.959
O 4.181 0.525 2.720
O 1.021 -2.580 5.187
O 2.870 -0.525 5.560
O 6.735 0.751 1.873
O 3.820 -2.580 3.332
O 5.424 -0.751 4.712
```

The 10 most intense peaks (10° ≤ 2θ ≤ 90°), low angle first:
2θ (°)	Rel. int.
13.6	84
15.8	76
16.9	66
22.3	68
24.1	55
26.6	72
28.2	100
29.7	47
33.2	48
36.2	48